SrTbEuNiO6: theoretical XRD peak list (λ = 1.5418 Å (Cu Kα)), based on a DFT-relaxed cell (GGA+U, Alexandria).
Lines closer than 0.1° are merged.

The 8 most intense peaks (15 to 90 degrees two-theta), in order of rising 2θ:
2θ (°)	d [Å]	intensity
19.1	4.657	12
31.4	2.852	100
37.0	2.432	9
45.0	2.016	30
55.8	1.646	39
65.5	1.426	18
74.4	1.275	18
82.9	1.164	6

Cell lengths 5.7031, 5.7031, 5.7031 Å; angles 60.00, 60.00, 60.00 degrees
Fractional coordinates of all 10 atoms:
Sr (0.0000, 0.0000, 0.0000)
Tb (0.7500, 0.7500, 0.7500)
Eu (0.5000, 0.5000, 0.5000)
Ni (0.2500, 0.2500, 0.2500)
O (0.0201, 0.0201, 0.4799)
O (0.0201, 0.4799, 0.0201)
O (0.0201, 0.4799, 0.4799)
O (0.4799, 0.0201, 0.0201)
O (0.4799, 0.0201, 0.4799)
O (0.4799, 0.4799, 0.0201)